For Pm4SmMg3, the GGA-PBE geometry in Alexandria gives the computed XRD peak list in this record (copper Kα).
No peak broadening, texture or thermal motion is included.

Main lines, by angle (2θ from 10° to 90°):
- 2θ = 22.4°, d = 3.974 Å, intensity 246
- 2θ = 23.2°, d = 3.832 Å, intensity 115
- 2θ = 31.7°, d = 2.823 Å, intensity 258
- 2θ = 32.0°, d = 2.797 Å, intensity 262
- 2θ = 32.5°, d = 2.759 Å, intensity 1000
- 2θ = 45.7°, d = 1.987 Å, intensity 188
- 2θ = 56.9°, d = 1.617 Å, intensity 185
- 2θ = 57.3°, d = 1.608 Å, intensity 197
- 2θ = 68.0°, d = 1.379 Å, intensity 114
- 2θ = 76.0°, d = 1.253 Å, intensity 120

Atomic structure:
Unit cell a=3.8320 b=5.5950 c=11.2937 alpha=90.00 beta=90.00 gamma=90.00
Atoms (fractional coordinates):
Pm: 0.0000 0.0000 0.0000
Pm: 0.0000 0.0000 0.5000
Pm: 0.0000 0.5000 0.2367
Pm: 0.0000 0.5000 0.7633
Sm: 0.5000 0.5000 0.5000
Mg: 0.5000 0.0000 0.2489
Mg: 0.5000 0.0000 0.7511
Mg: 0.5000 0.5000 0.0000

=====

For HoTa2AlC4, the GGA-PBE geometry in Alexandria gives the computed XRD peak list in this record (copper Kα).
No peak broadening, texture or thermal motion is included.

Main lines, by angle (2θ from 10° to 90°):
- 2θ = 29.1°, d = 3.069 Å, intensity 952
- 2θ = 32.2°, d = 2.782 Å, intensity 320
- 2θ = 32.8°, d = 2.732 Å, intensity 584
- 2θ = 32.9°, d = 2.722 Å, intensity 1000
- 2θ = 37.9°, d = 2.372 Å, intensity 287
- 2θ = 40.5°, d = 2.225 Å, intensity 727
- 2θ = 50.4°, d = 1.812 Å, intensity 358
- 2θ = 53.1°, d = 1.725 Å, intensity 274
- 2θ = 56.1°, d = 1.641 Å, intensity 252
- 2θ = 56.5°, d = 1.629 Å, intensity 255

Atomic structure:
Unit cell a=5.7015 b=5.7015 c=11.1272 alpha=90.00 beta=90.00 gamma=146.81
Atoms (fractional coordinates):
Ho: 0.1129 0.8871 0.7500
Ho: 0.8871 0.1129 0.2500
Ta: 0.3686 0.6314 0.5432
Ta: 0.3686 0.6314 0.9568
Ta: 0.6314 0.3686 0.0432
Ta: 0.6314 0.3686 0.4568
Al: 0.1514 0.8486 0.2500
Al: 0.8486 0.1514 0.7500
C: 0.0000 0.0000 0.0000
C: 0.0000 0.0000 0.5000
C: 0.2632 0.7368 0.1123
C: 0.2632 0.7368 0.3877
C: 0.4454 0.5546 0.7500
C: 0.5546 0.4454 0.2500
C: 0.7368 0.2632 0.6123
C: 0.7368 0.2632 0.8877

=====

For Co10B3Sb, the GGA-PBE geometry in Alexandria gives the computed XRD peak list in this record (copper Kα).
No peak broadening, texture or thermal motion is included.

Main lines, by angle (2θ from 10° to 90°):
- 2θ = 16.9°, d = 5.256 Å, intensity 196
- 2θ = 38.3°, d = 2.351 Å, intensity 850
- 2θ = 42.1°, d = 2.146 Å, intensity 482
- 2θ = 44.8°, d = 2.023 Å, intensity 1000
- 2θ = 49.0°, d = 1.858 Å, intensity 290
- 2θ = 51.4°, d = 1.777 Å, intensity 445
- 2θ = 58.2°, d = 1.585 Å, intensity 229
- 2θ = 74.4°, d = 1.275 Å, intensity 231
- 2θ = 77.0°, d = 1.239 Å, intensity 309
- 2θ = 83.8°, d = 1.154 Å, intensity 125

Atomic structure:
Unit cell a=7.4336 b=7.4336 c=7.4336 alpha=60.00 beta=60.00 gamma=60.00
Atoms (fractional coordinates):
Co: 0.0000 0.0000 0.3319
Co: 0.0000 0.0000 0.6681
Co: 0.0000 0.3319 0.0000
Co: 0.0000 0.3319 0.6681
Co: 0.0000 0.6681 0.0000
Co: 0.0000 0.6681 0.3319
Co: 0.1513 0.6162 0.6162
Co: 0.3319 0.0000 0.0000
Co: 0.3319 0.0000 0.6681
Co: 0.3319 0.6681 0.0000
Co: 0.3838 0.3838 0.3838
Co: 0.3838 0.3838 0.8487
Co: 0.3838 0.8487 0.3838
Co: 0.6162 0.1513 0.6162
Co: 0.6162 0.6162 0.1513
Co: 0.6162 0.6162 0.6162
Co: 0.6681 0.0000 0.0000
Co: 0.6681 0.0000 0.3319
Co: 0.6681 0.3319 0.0000
Co: 0.8487 0.3838 0.3838
B: 0.2763 0.2763 0.7237
B: 0.2763 0.7237 0.2763
B: 0.2763 0.7237 0.7237
B: 0.7237 0.2763 0.2763
B: 0.7237 0.2763 0.7237
B: 0.7237 0.7237 0.2763
Sb: 0.2500 0.2500 0.2500
Sb: 0.7500 0.7500 0.7500

=====

For Pr6Dy2Ho, the GGA-PBE geometry in Alexandria gives the computed XRD peak list in this record (copper Kα).
No peak broadening, texture or thermal motion is included.

Main lines, by angle (2θ from 10° to 90°):
- 2θ = 28.6°, d = 3.118 Å, intensity 361
- 2θ = 30.0°, d = 2.977 Å, intensity 1000
- 2θ = 32.3°, d = 2.768 Å, intensity 355
- 2θ = 36.8°, d = 2.439 Å, intensity 198
- 2θ = 38.0°, d = 2.370 Å, intensity 196
- 2θ = 51.6°, d = 1.772 Å, intensity 113
- 2θ = 53.3°, d = 1.719 Å, intensity 116
- 2θ = 56.7°, d = 1.625 Å, intensity 185
- 2θ = 58.2°, d = 1.586 Å, intensity 99
- 2θ = 59.0°, d = 1.567 Å, intensity 111

Atomic structure:
Unit cell a=10.1196 b=10.1196 c=3.6844 alpha=90.00 beta=90.00 gamma=124.01
Atoms (fractional coordinates):
Pr: 0.0095 0.3406 0.0000
Pr: 0.1844 0.1844 0.5000
Pr: 0.3406 0.0095 0.0000
Pr: 0.6594 0.9905 0.0000
Pr: 0.8156 0.8156 0.5000
Pr: 0.9905 0.6594 0.0000
Dy: 0.3248 0.6752 0.5000
Dy: 0.6752 0.3248 0.5000
Ho: 0.5000 0.5000 0.0000

=====

For Ba8Pd2RhAu, the GGA-PBE geometry in Alexandria gives the computed XRD peak list in this record (copper Kα).
No peak broadening, texture or thermal motion is included.

Main lines, by angle (2θ from 10° to 90°):
- 2θ = 16.5°, d = 5.382 Å, intensity 547
- 2θ = 25.1°, d = 3.546 Å, intensity 1000
- 2θ = 26.0°, d = 3.426 Å, intensity 393
- 2θ = 32.3°, d = 2.771 Å, intensity 221
- 2θ = 32.6°, d = 2.748 Å, intensity 579
- 2θ = 33.3°, d = 2.691 Å, intensity 345
- 2θ = 38.2°, d = 2.357 Å, intensity 231
- 2θ = 40.0°, d = 2.253 Å, intensity 412
- 2θ = 42.4°, d = 2.130 Å, intensity 208
- 2θ = 51.5°, d = 1.773 Å, intensity 192

Atomic structure:
Unit cell a=7.5326 b=9.4289 c=7.6937 alpha=90.00 beta=90.08 gamma=90.00
Atoms (fractional coordinates):
Ba: 0.2206 0.0000 0.3327
Ba: 0.2375 0.5000 0.3187
Ba: 0.2719 0.2632 0.8266
Ba: 0.2719 0.7368 0.8266
Ba: 0.7281 0.2632 0.1734
Ba: 0.7281 0.7368 0.1734
Ba: 0.7625 0.5000 0.6813
Ba: 0.7794 0.0000 0.6673
Pd: 0.0000 0.2545 0.5000
Pd: 0.0000 0.7455 0.5000
Rh: 0.5000 0.5000 0.0000
Au: 0.5000 0.0000 0.0000

=====

For NiBi6Rh, the GGA-PBE geometry in Alexandria gives the computed XRD peak list in this record (copper Kα).
No peak broadening, texture or thermal motion is included.

Main lines, by angle (2θ from 10° to 90°):
- 2θ = 28.0°, d = 3.182 Å, intensity 483
- 2θ = 29.0°, d = 3.078 Å, intensity 1000
- 2θ = 30.5°, d = 2.927 Å, intensity 479
- 2θ = 31.5°, d = 2.840 Å, intensity 966
- 2θ = 33.1°, d = 2.710 Å, intensity 446
- 2θ = 33.6°, d = 2.667 Å, intensity 823
- 2θ = 37.6°, d = 2.394 Å, intensity 315
- 2θ = 43.0°, d = 2.105 Å, intensity 992
- 2θ = 55.6°, d = 1.652 Å, intensity 403
- 2θ = 57.8°, d = 1.594 Å, intensity 420

Atomic structure:
Unit cell a=4.2098 b=11.5403 c=9.0242 alpha=90.00 beta=90.00 gamma=90.00
Atoms (fractional coordinates):
Ni: 0.0000 0.2283 0.0000
Ni: 0.0000 0.7717 0.5000
Bi: 0.0000 0.1388 0.3041
Bi: 0.0000 0.1543 0.7148
Bi: 0.0000 0.4314 0.1899
Bi: 0.0000 0.5686 0.6899
Bi: 0.0000 0.8457 0.2148
Bi: 0.0000 0.8612 0.8041
Bi: 0.5000 0.0716 0.0085
Bi: 0.5000 0.3458 0.4839
Bi: 0.5000 0.3586 0.8974
Bi: 0.5000 0.6414 0.3974
Bi: 0.5000 0.6542 0.9839
Bi: 0.5000 0.9284 0.5085
Rh: 0.5000 0.2703 0.1896
Rh: 0.5000 0.7297 0.6896

=====

For Cs3Ag2Br4Cl2, the GGA-PBE geometry in Alexandria gives the computed XRD peak list in this record (copper Kα).
No peak broadening, texture or thermal motion is included.

Main lines, by angle (2θ from 10° to 90°):
- 2θ = 12.0°, d = 7.357 Å, intensity 268
- 2θ = 22.5°, d = 3.944 Å, intensity 1000
- 2θ = 23.7°, d = 3.757 Å, intensity 221
- 2θ = 30.0°, d = 2.983 Å, intensity 536
- 2θ = 30.4°, d = 2.943 Å, intensity 292
- 2θ = 33.7°, d = 2.657 Å, intensity 704
- 2θ = 41.0°, d = 2.203 Å, intensity 420
- 2θ = 46.0°, d = 1.972 Å, intensity 355
- 2θ = 48.5°, d = 1.879 Å, intensity 245
- 2θ = 58.3°, d = 1.583 Å, intensity 172

Atomic structure:
Unit cell a=15.1859 b=15.1859 c=15.1859 alpha=159.85 beta=159.85 gamma=28.65
Atoms (fractional coordinates):
Cs: 0.0000 0.0000 0.0000
Cs: 0.1858 0.1858 0.0000
Cs: 0.8142 0.8142 0.0000
Ag: 0.3938 0.3938 0.0000
Ag: 0.6062 0.6062 0.0000
Br: 0.0873 0.5873 0.5000
Br: 0.4127 0.9127 0.5000
Br: 0.5873 0.0873 0.5000
Br: 0.9127 0.4127 0.5000
Cl: 0.3033 0.3033 0.0000
Cl: 0.6967 0.6967 0.0000

=====

For La5PmDy8, the GGA-PBE geometry in Alexandria gives the computed XRD peak list in this record (copper Kα).
No peak broadening, texture or thermal motion is included.

Main lines, by angle (2θ from 10° to 90°):
- 2θ = 29.7°, d = 3.009 Å, intensity 382
- 2θ = 30.8°, d = 2.899 Å, intensity 1000
- 2θ = 31.0°, d = 2.885 Å, intensity 484
- 2θ = 32.1°, d = 2.785 Å, intensity 448
- 2θ = 32.6°, d = 2.747 Å, intensity 425
- 2θ = 41.1°, d = 2.197 Å, intensity 153
- 2θ = 47.4°, d = 1.918 Å, intensity 187
- 2θ = 51.2°, d = 1.784 Å, intensity 155
- 2θ = 60.9°, d = 1.520 Å, intensity 147
- 2θ = 61.7°, d = 1.503 Å, intensity 141

Atomic structure:
Unit cell a=8.9789 b=8.9789 c=17.0257 alpha=117.58 beta=117.58 gamma=22.93
Atoms (fractional coordinates):
La: 0.0000 0.0000 0.0000
La: 0.2883 0.2883 0.3568
La: 0.3560 0.3560 0.0602
La: 0.6440 0.6440 0.9398
La: 0.7117 0.7117 0.6432
Pm: 0.5000 0.5000 0.5000
Dy: 0.0760 0.0760 0.7223
Dy: 0.1458 0.1458 0.4368
Dy: 0.2168 0.2168 0.1464
Dy: 0.4195 0.4195 0.7766
Dy: 0.5805 0.5805 0.2234
Dy: 0.7832 0.7832 0.8536
Dy: 0.8542 0.8542 0.5632
Dy: 0.9240 0.9240 0.2777

=====

Copy entry 7 word for word.
For Cs3Ag2Br4Cl2, the GGA-PBE geometry in Alexandria gives the computed XRD peak list in this record (copper Kα).
No peak broadening, texture or thermal motion is included.

Main lines, by angle (2θ from 10° to 90°):
- 2θ = 12.0°, d = 7.357 Å, intensity 268
- 2θ = 22.5°, d = 3.944 Å, intensity 1000
- 2θ = 23.7°, d = 3.757 Å, intensity 221
- 2θ = 30.0°, d = 2.983 Å, intensity 536
- 2θ = 30.4°, d = 2.943 Å, intensity 292
- 2θ = 33.7°, d = 2.657 Å, intensity 704
- 2θ = 41.0°, d = 2.203 Å, intensity 420
- 2θ = 46.0°, d = 1.972 Å, intensity 355
- 2θ = 48.5°, d = 1.879 Å, intensity 245
- 2θ = 58.3°, d = 1.583 Å, intensity 172

Atomic structure:
Unit cell a=15.1859 b=15.1859 c=15.1859 alpha=159.85 beta=159.85 gamma=28.65
Atoms (fractional coordinates):
Cs: 0.0000 0.0000 0.0000
Cs: 0.1858 0.1858 0.0000
Cs: 0.8142 0.8142 0.0000
Ag: 0.3938 0.3938 0.0000
Ag: 0.6062 0.6062 0.0000
Br: 0.0873 0.5873 0.5000
Br: 0.4127 0.9127 0.5000
Br: 0.5873 0.0873 0.5000
Br: 0.9127 0.4127 0.5000
Cl: 0.3033 0.3033 0.0000
Cl: 0.6967 0.6967 0.0000